Na3NiO2: calculated X-ray powder pattern (Cu Kα, 1.54184 Å), based on a DFT-relaxed cell (GGA+U, Alexandria).
Kinematic intensities with the Lorentz-polarization factor, no thermal factor.

Structure:
```
data_Na3NiO2
_symmetry_space_group_name_H-M 'P 42/m n m'
_symmetry_Int_Tables_number 136
_symmetry_space_group_name_Hall '-P 4n 2n'
_cell_length_a 9.4853
_cell_length_b 9.4853
_cell_length_c 4.6132
_cell_angle_alpha 90.00
_cell_angle_beta 90.00
_cell_angle_gamma 90.00
loop_
_atom_site_label
_atom_site_type_symbol
_atom_site_fract_x
_atom_site_fract_y
_atom_site_fract_z
_atom_site_occupancy
Na1 Na 0.0214 0.3452 0.0000 1
Na2 Na 0.1427 0.8573 0.5000 1
Ni1 Ni 0.1714 0.1714 0.5000 1
O1 O 0.0352 0.3028 0.5000 1
```

Peak list (8 most intense, 2θ from 5° to 70°, by intensity)
2theta, I_rel, (hkl)
34.39, 100, 3 0 1
21.42, 68, 1 0 1
40.34, 63, 3 3 0
39.05, 45, 0 0 2
20.94, 42, 2 1 0
57.40, 40, 3 3 2
23.40, 34, 1 1 1
69.53, 22, 6 3 1